Entry 1:
Starting from a DFT-relaxed cell (GGA-PBE, the Materials Project), the powder diffractogram of Li4TiS4 was simulated for Cu Kα X-rays.

Peak list (6 most intense, 2θ from 10° to 90°, by angle)
16.8 deg, rel. 58.0, (2 1 0); 24.9 deg, rel. 44.4, (4 0 0); 25.9 deg, rel. 75.9, (2 2 0); 28.8 deg, rel. 100.0, (0 0 2); 29.7 deg, rel. 54.9, (2 2 1); 44.5 deg, rel. 63.4, (6 2 0)

Atomic structure:
Cell: 14.311 7.845 6.200 Å, 90.00 90.00 90.00°
Space group Pnma (No. 62)
Unique sites:
Li1 0.000 0.000 0.000 (multiplicity 4)
Li2 0.087 0.250 0.369 (multiplicity 4)
Li3 0.178 0.000 0.804 (multiplicity 8)
Ti1 0.089 0.750 0.348 (multiplicity 4)
S1 0.064 0.250 0.764 (multiplicity 4)
S2 0.082 0.750 0.714 (multiplicity 4)
S3 0.157 0.509 0.217 (multiplicity 8)



Entry 2:
Starting from a DFT-relaxed cell (GGA-PBE, the Materials Project), the powder diffractogram of Li4TiS4 was simulated for Cu Kα X-rays.

Peak list (6 most intense, 2θ from 10° to 90°, by angle)
17.4 deg, rel. 55.9, (1 1 1); 22.3 deg, rel. 39.8, (0 2 1); 26.4 deg, rel. 63.3, (1 1 2); 26.6 deg, rel. 100.0, (2 2 0); 29.3 deg, rel. 31.0, (2 0 2); 46.9 deg, rel. 52.0, (3 3 2)

Atomic structure:
Cell: 9.679 9.261 7.824 Å, 90.00 90.00 90.00°
Space group Cmcm (No. 63)
Unique sites:
Li1 0.154 0.238 0.250 (multiplicity 8)
Li2 0.161 0.500 0.000 (multiplicity 8)
Ti1 0.000 0.162 0.750 (multiplicity 4)
S1 0.000 0.295 0.504 (multiplicity 8)
S2 0.197 0.029 0.750 (multiplicity 8)



Entry 3:
Starting from a DFT-relaxed cell (GGA-PBE, the Materials Project), the powder diffractogram of Li4TiS4 was simulated for Cu Kα X-rays.

Peak list (6 most intense, 2θ from 10° to 90°, by angle)
16.1 deg, rel. 17.4, (0 0 2); 17.1 deg, rel. 70.7, (1 0 1); 26.9 deg, rel. 100.0, (1 1 2); 43.6 deg, rel. 23.1, (2 2 0); 45.2 deg, rel. 43.1, (2 0 4); 52.0 deg, rel. 20.0, (3 1 2)

Atomic structure:
Cell: 5.869 5.869 11.007 Å, 90.00 90.00 90.00°
Space group I-42m (No. 121)
Unique sites:
Li1 0.000 0.000 0.225 (multiplicity 4)
Li2 0.000 0.500 0.000 (multiplicity 4)
Ti1 0.000 0.000 0.500 (multiplicity 2)
S1 0.222 0.222 0.619 (multiplicity 8)



Entry 4:
Starting from a DFT-relaxed cell (GGA-PBE, the Materials Project), the powder diffractogram of Li3VS4 was simulated for Cu Kα X-rays.

Peak list (6 most intense, 2θ from 10° to 90°, by angle)
14.9 deg, rel. 100.0, (1 0 0); 21.1 deg, rel. 29.9, (1 1 0); 25.9 deg, rel. 67.6, (1 1 1); 37.0 deg, rel. 22.7, (2 1 1); 43.0 deg, rel. 39.2, (2 2 0); 55.6 deg, rel. 22.3, (3 2 0)

Atomic structure:
Cell: 5.955 5.955 5.955 Å, 90.00 90.00 90.00°
Space group P-43m (No. 215)
Unique sites:
Li1 0.000 0.000 0.500 (multiplicity 3)
V1 0.000 0.000 0.000 (multiplicity 1)
S1 0.210 0.210 0.210 (multiplicity 4)